This entry pairs a crystal structure of Li2Cr3WO8 with its theoretical X-ray powder pattern. Radiation: Cu Kα X-rays. Structure: a structure optimized by DFT (PBE+U).
Intensities are scaled so that the largest is 100.

Largest 12 diffraction maxima, low angle first, 2θ from 10° to 90°:
| 2theta | I_rel |
| --- | --- |
| 14.68 | 26 |
| 18.01 | 100 |
| 23.31 | 38 |
| 25.57 | 16 |
| 34.87 | 52 |
| 36.48 | 24 |
| 42.37 | 51 |
| 46.38 | 15 |
| 56.00 | 21 |
| 61.47 | 32 |
| 64.62 | 16 |
| 73.64 | 12 |

Structure:
```
Li2Cr3WO8
1.0
8.5331 0.0000 0.0000
0.0000 8.5331 0.0000
0.0000 0.0000 8.5331
Li Cr W O
8 12 4 32
direct
0.0048 0.4952 0.5048
0.2452 0.7452 0.7548
0.2548 0.2548 0.2548
0.4952 0.5048 0.0048
0.5048 0.0048 0.4952
0.7452 0.7548 0.2452
0.7548 0.2452 0.7452
0.9952 0.9952 0.9952
0.1221 0.1279 0.6250
0.1250 0.3779 0.8721
0.1279 0.6250 0.1221
0.3721 0.3750 0.6221
0.3750 0.6221 0.3721
0.3779 0.8721 0.1250
0.6221 0.3721 0.3750
0.6250 0.1221 0.1279
0.6279 0.8750 0.8779
0.8721 0.1250 0.3779
0.8750 0.8779 0.6279
0.8779 0.6279 0.8750
0.1250 0.8750 0.3750
0.3750 0.1250 0.8750
0.6250 0.6250 0.6250
0.8750 0.3750 0.1250
0.1113 0.3850 0.1158
0.1106 0.6106 0.8894
0.1150 0.8842 0.6113
0.1158 0.1113 0.3850
0.1342 0.8650 0.1387
0.1350 0.6387 0.3658
0.1387 0.1342 0.8650
0.1394 0.3606 0.6394
0.3606 0.6394 0.1394
0.3613 0.8658 0.3650
0.3650 0.3613 0.8658
0.3658 0.1350 0.6387
0.3842 0.8887 0.8850
0.3850 0.1158 0.1113
0.3894 0.3894 0.3894
0.3887 0.6150 0.6158
0.6113 0.1150 0.8842
0.6106 0.8894 0.1106
0.6150 0.6158 0.3887
0.6158 0.3887 0.6150
0.6342 0.6350 0.8613
0.6350 0.8613 0.6342
0.6394 0.1394 0.3606
0.6387 0.3658 0.1350
0.8613 0.6342 0.6350
0.8606 0.8606 0.8606
0.8650 0.1387 0.1342
0.8658 0.3650 0.3613
0.8842 0.6113 0.1150
0.8850 0.3842 0.8887
0.8894 0.1106 0.6106
0.8887 0.8850 0.3842
```